This entry pairs a crystal structure of Sm2Dy5Ho4 with its calculated powder diffraction line list. Radiation: CuKα. Structure: the GGA-PBE geometry in Alexandria.
Peak positions follow from Bragg's law for the DFT cell and can differ from measured ones.

```
Sm2Dy5Ho4
1.0
3.5236 0.0000 0.0000
-1.7608 8.5723 0.0000
-0.0054 -1.0781 11.6019
Sm Dy Ho
2 5 4
Direct
0.1358 0.2726 0.3136
0.8642 0.7274 0.6864
0.0000 0.0000 0.5000
0.0919 0.1853 0.0428
0.4598 0.9195 0.2181
0.5402 0.0805 0.7819
0.9081 0.8147 0.9572
0.2323 0.4633 0.8533
0.3211 0.6427 0.4266
0.6789 0.3573 0.5734
0.7677 0.5367 0.1467
```

Peak list (10 most intense, 2θ from 5° to 70°, by intensity)
- 2θ = 31.66°, I 100.0
- 2θ = 31.20°, I 48.9
- 2θ = 32.65°, I 46.6
- 2θ = 32.98°, I 44.7
- 2θ = 30.39°, I 41.1
- 2θ = 62.08°, I 29.6
- 2θ = 47.63°, I 18.6
- 2θ = 57.66°, I 17.2
- 2θ = 62.68°, I 15.9
- 2θ = 42.31°, I 14.8

---

This entry pairs a crystal structure of Sm3DyHo6 with its calculated powder diffraction line list. Radiation: CuKα. Structure: the GGA-PBE geometry in Alexandria.
Peak positions follow from Bragg's law for the DFT cell and can differ from measured ones.

```
Sm3DyHo6
1.0
5.7383 -3.2807 0.0000
5.7383 3.2807 0.0000
-3.9032 0.0000 8.7553
Sm Dy Ho
3 1 6
Direct
0.0000 0.0000 0.0000
0.0690 0.0690 0.6972
0.9310 0.9310 0.3028
0.5000 0.5000 0.5000
0.0665 0.5612 0.6905
0.3623 0.3623 0.0773
0.4388 0.9335 0.3095
0.5612 0.0665 0.6905
0.6377 0.6377 0.9227
0.9335 0.4388 0.3095
```

Peak list (10 most intense, 2θ from 5° to 70°, by intensity)
- 2θ = 31.57°, I 100.0
- 2θ = 31.39°, I 82.5
- 2θ = 34.14°, I 54.1
- 2θ = 32.19°, I 49.0
- 2θ = 55.63°, I 37.3
- 2θ = 28.54°, I 32.4
- 2θ = 33.86°, I 28.7
- 2θ = 30.63°, I 25.4
- 2θ = 31.87°, I 24.8
- 2θ = 50.71°, I 23.6

---

This entry pairs a crystal structure of SmDy4Ho with its calculated powder diffraction line list. Radiation: CuKα. Structure: the GGA-PBE geometry in Alexandria.
Peak positions follow from Bragg's law for the DFT cell and can differ from measured ones.

```
SmDy4Ho
1.0
4.4024 -7.4457 0.0000
4.4024 7.4457 0.0000
-2.6954 0.0000 5.9213
Sm Dy Ho
2 8 2
Direct
0.0122 0.9878 0.7500
0.9878 0.0122 0.2500
0.1160 0.7092 0.4519
0.1810 0.4225 0.1088
0.2908 0.8840 0.0481
0.4225 0.1810 0.6088
0.5775 0.8190 0.3912
0.7092 0.1160 0.9519
0.8190 0.5775 0.8912
0.8840 0.2908 0.5481
0.4144 0.5856 0.7500
0.5856 0.4144 0.2500
```

Peak list (10 most intense, 2θ from 5° to 70°, by intensity)
- 2θ = 32.05°, I 100.0
- 2θ = 31.08°, I 79.5
- 2θ = 33.99°, I 62.9
- 2θ = 28.53°, I 62.6
- 2θ = 32.95°, I 62.3
- 2θ = 31.58°, I 46.7
- 2θ = 32.55°, I 37.6
- 2θ = 32.84°, I 24.9
- 2θ = 55.95°, I 22.6
- 2θ = 28.11°, I 22.6

---

This entry pairs a crystal structure of Sm2Dy12Ho5 with its calculated powder diffraction line list. Radiation: CuKα. Structure: the GGA-PBE geometry in Alexandria.
Peak positions follow from Bragg's law for the DFT cell and can differ from measured ones.

```
Sm2Dy12Ho5
1.0
6.1412 0.0000 0.0000
-3.0643 8.8666 0.0000
-2.0477 -0.7205 10.9920
Sm Dy Ho
2 12 5
Direct
0.2100 0.4738 0.4202
0.7900 0.5262 0.5798
0.0526 0.3681 0.1041
0.1058 0.7383 0.2097
0.1580 0.1047 0.3150
0.3144 0.2092 0.6322
0.3690 0.5793 0.7385
0.4206 0.9474 0.8427
0.5794 0.0526 0.1573
0.6310 0.4207 0.2615
0.6856 0.7908 0.3678
0.8420 0.8953 0.6850
0.8942 0.2617 0.7903
0.9474 0.6319 0.8959
0.0000 0.0000 0.0000
0.2645 0.8436 0.5266
0.4736 0.3153 0.9474
0.5264 0.6847 0.0526
0.7355 0.1564 0.4734
```

Peak list (5 most intense, 2θ from 5° to 70°, by intensity)
- 2θ = 30.89°, I 100.0
- 2θ = 35.82°, I 50.6
- 2θ = 61.33°, I 42.8
- 2θ = 51.56°, I 36.0
- 2θ = 64.37°, I 12.3

---

This entry pairs a crystal structure of Sm3Dy8Ho4 with its calculated powder diffraction line list. Radiation: CuKα. Structure: the GGA-PBE geometry in Alexandria.
Peak positions follow from Bragg's law for the DFT cell and can differ from measured ones.

```
Sm3Dy8Ho4
1.0
6.6809 -6.3827 0.0000
6.6809 6.3827 0.0000
-3.3922 0.0000 5.8201
Sm Dy Ho
3 8 4
Direct
0.0000 0.0000 0.0000
0.0000 0.5000 0.0000
0.5000 0.0000 0.0000
0.1418 0.8582 0.5000
0.2307 0.2307 0.9603
0.2384 0.2384 0.4903
0.2473 0.7527 0.0000
0.7527 0.2473 0.0000
0.7616 0.7616 0.5097
0.7693 0.7693 0.0397
0.8582 0.1418 0.5000
0.0000 0.5000 0.5000
0.5000 0.0000 0.5000
0.5000 0.5000 0.0000
0.5000 0.5000 0.5000
```

Peak list (10 most intense, 2θ from 5° to 70°, by intensity)
- 2θ = 30.73°, I 100.0
- 2θ = 30.99°, I 47.8
- 2θ = 42.03°, I 46.9
- 2θ = 27.96°, I 35.9
- 2θ = 32.01°, I 27.6
- 2θ = 42.22°, I 22.4
- 2θ = 66.88°, I 19.7
- 2θ = 54.96°, I 18.0
- 2θ = 62.78°, I 13.2
- 2θ = 39.03°, I 11.5

---

This entry pairs a crystal structure of Sm2Dy5Ho6 with its calculated powder diffraction line list. Radiation: CuKα. Structure: the GGA-PBE geometry in Alexandria.
Peak positions follow from Bragg's law for the DFT cell and can differ from measured ones.

```
Sm2Dy5Ho6
1.0
11.6267 0.0000 0.0000
0.0000 20.1500 0.0000
0.0000 0.0000 3.5689
Sm Dy Ho
4 10 12
Direct
0.1682 0.2127 0.0000
0.3318 0.7127 0.0000
0.6682 0.2873 0.0000
0.8318 0.7873 0.0000
0.0000 0.5000 0.5000
0.0904 0.7753 0.5000
0.1992 0.0502 0.5000
0.3008 0.5502 0.5000
0.4096 0.2753 0.5000
0.5000 0.0000 0.5000
0.5904 0.7247 0.5000
0.6992 0.4498 0.5000
0.8008 0.9498 0.5000
0.9096 0.2247 0.5000
0.0590 0.9206 0.0000
0.0809 0.6323 0.0000
0.1760 0.3686 0.5000
0.3240 0.8686 0.5000
0.4191 0.1323 0.0000
0.4410 0.4206 0.0000
0.5590 0.5794 0.0000
0.5809 0.8677 0.0000
0.6760 0.1314 0.5000
0.8240 0.6314 0.5000
0.9191 0.3677 0.0000
0.9410 0.0794 0.0000
```

Peak list (10 most intense, 2θ from 5° to 70°, by intensity)
- 2θ = 32.31°, I 100.0
- 2θ = 32.04°, I 97.2
- 2θ = 31.09°, I 59.1
- 2θ = 31.67°, I 48.6
- 2θ = 34.45°, I 38.8
- 2θ = 61.68°, I 32.5
- 2θ = 36.76°, I 32.2
- 2θ = 27.63°, I 28.1
- 2θ = 30.71°, I 26.1
- 2θ = 57.08°, I 26.1